Computed XRD peak list
Compound: Li5Fe3Co2O10
Radiation: copper Kα
Structure: the GGA+U geometry in Alexandria

Main lines, low angle first (2θ = 15–90°):
2theta, I/Imax, (hkl)
18.32, 100, 0 1 -1
18.51, 40, 1 0 0
42.20, 76, -1 2 1
42.43, 74, 1 -1 3
44.22, 70, 2 1 -2
62.86, 42, 3 0 1

Cell and atoms:
```
data_Li5Fe3Co2O10
_space_group_name_H-M_alt 'P -1'
_space_group_IT_number 2
_space_group_name_Hall '-P 1'
_cell_length_a 5.080
_cell_length_b 5.185
_cell_length_c 7.900
_cell_angle_alpha 107.84
_cell_angle_beta 101.19
_cell_angle_gamma 101.28
loop_
_atom_site_label
_atom_site_type_symbol
_atom_site_fract_x
_atom_site_fract_y
_atom_site_fract_z
_atom_site_occupancy
Li1 Li 0.000 0.000 0.000 1
Li2 Li 0.117 0.213 0.724 1
Li3 Li 0.290 0.585 0.087 1
Fe1 Fe 0.192 0.393 0.393 1
Fe2 Fe 0.500 0.000 0.500 1
Co1 Co 0.400 0.810 0.818 1
O1 O 0.057 0.605 0.836 1
O2 O 0.156 0.786 0.549 1
O3 O 0.274 0.027 0.265 1
O4 O 0.362 0.186 0.955 1
O5 O 0.452 0.389 0.637 1
```